For NaEuTiSnO6, the PBE geometry in the Materials Project gives the computed powder diffraction line list in this record (copper Kα).
Lines closer than 0.1° are merged.

Structure:
```
NaEuTiSnO6
1.0
0.0000 3.9903 3.9903
3.9903 0.0000 3.9903
3.9903 3.9903 0.0000
Na Eu Ti Sn O
1 1 1 1 6
Direct
0.0000 0.0000 0.0000
0.5000 0.5000 0.5000
0.7500 0.7500 0.7500
0.2500 0.2500 0.2500
0.5060 0.5060 0.9940
0.5060 0.9940 0.5060
0.5060 0.9940 0.9940
0.9940 0.5060 0.5060
0.9940 0.5060 0.9940
0.9940 0.9940 0.5060
```

Most intense lines, 2θ from 10° to 90°, sorted by position:
2θ (°)  intensity
19.3  475
31.7  1000
37.4  293
45.5  359
49.8  136
56.5  397
60.3  99
66.2  214
69.7  100
75.3  175


For Ta3Bi2S6, the PBE geometry in the Materials Project gives the computed powder diffraction line list in this record (copper Kα).
Lines closer than 0.1° are merged.

Structure:
```
Ta3Bi2S6
1.0
5.7592 0.0000 0.0000
-2.8796 4.9876 0.0000
0.0000 0.0000 17.5844
Ta Bi S
6 4 12
Direct
0.0000 0.3265 0.2500
0.0000 0.6735 0.7500
0.3265 0.0000 0.2500
0.3265 0.3265 0.7500
0.6735 0.0000 0.7500
0.6735 0.6735 0.2500
0.3333 0.6667 0.0000
0.3333 0.6667 0.5000
0.6667 0.3333 0.0000
0.6667 0.3333 0.5000
0.0000 0.0000 0.1589
0.0000 0.0000 0.3411
0.0000 0.0000 0.6589
0.0000 0.0000 0.8411
0.3333 0.6667 0.1624
0.3333 0.6667 0.3376
0.3333 0.6667 0.6624
0.3333 0.6667 0.8376
0.6667 0.3333 0.1624
0.6667 0.3333 0.3376
0.6667 0.3333 0.6624
0.6667 0.3333 0.8376
```

Most intense lines, 2θ from 10° to 90°, sorted by position:
2θ (°)  intensity
10.1  373
20.2  1000
20.5  410
31.5  655
32.7  971
34.7  506
40.5  333
44.1  923
55.3  408
59.4  361


For CaIn4Ge4O14, the PBE geometry in the Materials Project gives the computed powder diffraction line list in this record (copper Kα).
Lines closer than 0.1° are merged.

Structure:
```
CaIn4Ge4O14
1.0
-3.6787 3.6940 5.2121
3.6787 -3.6940 5.2121
3.6787 3.6940 -5.2121
Ca In Ge O
1 4 4 14
Direct
0.0000 0.0000 0.0000
0.3741 0.6213 0.7529
0.3746 0.1283 0.7537
0.3746 0.6209 0.2463
0.8684 0.6213 0.2471
0.4229 0.1395 0.2834
0.8561 0.1395 0.7166
0.8571 0.1387 0.2816
0.8571 0.5756 0.7184
0.2116 0.2119 0.4268
0.2116 0.7848 0.9997
0.2131 0.2131 0.0000
0.2482 0.7482 0.5000
0.4988 0.4988 0.0000
0.5521 0.0521 0.5000
0.5529 0.0519 0.1083
0.5529 0.4445 0.5010
0.7850 0.2119 0.0003
0.7850 0.7848 0.5732
0.7861 0.7861 0.0000
0.9436 0.0519 0.4990
0.9440 0.4440 0.5000
0.9436 0.4445 0.8917
```

Most intense lines, 2θ from 10° to 90°, sorted by position:
2θ (°)  intensity
29.7  1000
34.4  230
45.2  78
49.3  84
49.5  338
49.6  84
58.7  183
58.8  182
72.5  63
82.8  56


For Sm2Si5Rh3, the PBE geometry in the Materials Project gives the computed powder diffraction line list in this record (copper Kα).
Lines closer than 0.1° are merged.

Structure:
```
Sm2Si5Rh3
1.0
-4.9735 5.8544 2.9125
4.9735 -5.8544 2.9125
4.9735 5.8544 -2.9125
Sm Si Rh
4 10 6
Direct
0.1310 0.2329 0.3639
0.3690 0.7329 0.1019
0.6310 0.2671 0.8981
0.8690 0.7671 0.6361
0.0257 0.7500 0.2757
0.1070 0.6542 0.7612
0.2500 0.2500 0.0000
0.3930 0.1542 0.5472
0.4743 0.7500 0.7243
0.5257 0.2500 0.2757
0.6070 0.8458 0.4528
0.7500 0.7500 0.0000
0.8930 0.3458 0.2388
0.9743 0.2500 0.7243
0.1387 0.8906 0.0293
0.2500 0.7500 0.5000
0.3613 0.3906 0.7519
0.6387 0.6094 0.2481
0.7500 0.2500 0.5000
0.8613 0.1094 0.9707
```

Most intense lines, 2θ from 10° to 90°, sorted by position:
2θ (°)  intensity
24.5  218
30.5  204
30.7  213
34.7  1000
35.6  425
35.7  431
43.9  590
50.9  209
57.0  208
57.2  235